The following is a simulated powder diffraction line list of Zn2CoO4. It was derived from the GGA+U geometry in Alexandria, using Cu Kα, 1.54184 Å.
Lines closer than 0.1° are merged.

Principal peaks in the range 5° ≤ 2θ ≤ 70°, in order of falling intensity:
2θ 35.43, I = 1000, (2 1 1); 2θ 35.73, I = 512, (1 0 3); 2θ 62.85, I = 414, (2 2 4); 2θ 56.90, I = 314, (3 2 1); 2θ 30.22, I = 308, (1 1 2); 2θ 62.45, I = 208, (4 0 0); 2θ 37.17, I = 174, (2 0 2); 2θ 30.05, I = 155, (2 0 0); 2θ 43.01, I = 153, (2 2 0); 2θ 57.53, I = 147, (1 0 5)

Atomic structure:
```
data_Zn2CoO4
_chemical_formula_sum 'Zn8 Co4 O16'
_symmetry_space_group_name_H-M 'P 41 2 2'
_symmetry_Int_Tables_number 91
_cell_length_a 5.948
_cell_length_b 5.948
_cell_length_c 8.318
_cell_angle_alpha 90.00
_cell_angle_beta 90.00
_cell_angle_gamma 90.00
loop_
_symmetry_equiv_pos_as_xyz
'x,y,z'
'-y,x,z+1/4'
'-x,-y,z+1/2'
'y,-x,z+3/4'
'x,-y,-z+1/2'
'-y,-x,-z+1/4'
'-x,y,-z'
'y,x,-z+3/4'
loop_
_atom_site_label
_atom_site_type_symbol
_atom_site_fract_x
_atom_site_fract_y
_atom_site_fract_z
Zn1 Zn 0.000 0.251 0.000
Zn2 Zn 0.251 0.251 0.375
Co1 Co 0.257 0.500 0.750
O1 O 0.034 0.274 0.749
O2 O 0.272 0.482 0.980
```